(1)
Theoretical X-ray powder pattern of RbSmSeO for a wavelength of 1.5418 Å, from a crystal structure in OQMD, relaxed with GGA-PBE.
Intensities are scaled so that the largest is 1000.

Most intense lines, 10° ≤ 2θ ≤ 90°, by angle:
2θ/deg	d_spacing	Rel. int.	(hkl)
11.2	7.932	850	1 0 0
22.4	3.963	362	2 0 0
26.3	3.385	351	2 1 -1
26.9	3.312	439	1 0 -2
28.1	3.181	1000	1 2 -1
31.4	2.845	908	1 0 2
33.3	2.688	494	2 2 -1
35.8	2.508	353	3 1 -1
37.2	2.420	548	2 2 1
48.9	1.861	329	1 4 0

Crystal structure
```
data_RbSmSeO
_chemical_formula_sum 'Rb4 Sm4 Se4 O4'
_cell_length_a 8.117
_cell_length_b 7.659
_cell_length_c 6.769
_cell_angle_alpha 90.00
_cell_angle_beta 102.26
_cell_angle_gamma 90.00
_symmetry_space_group_name_H-M 'P 1 21/c 1'
_symmetry_Int_Tables_number 14
_symmetry_space_group_name_Hall '-P 2ybc'
loop_
_atom_site_label
_atom_site_fract_x
_atom_site_fract_y
_atom_site_fract_z
Rb1 0.089 0.228 0.499
Sm1 0.474 0.628 0.777
Se1 0.249 0.590 0.356
O1 0.408 0.148 0.384
```

(2)
Theoretical X-ray powder pattern of Rb3NaSb2Au2 for a wavelength of 1.5418 Å, from a crystal structure in OQMD, relaxed with GGA-PBE.
Intensities are scaled so that the largest is 1000.

Most intense lines, 10° ≤ 2θ ≤ 90°, by angle:
2θ/deg	d_spacing	Rel. int.	(hkl)
13.5	6.539	786	0 0 1
14.3	6.209	526	1 0 0
16.5	5.364	1000	1 0 -1
27.9	3.194	503	2 0 -1
29.8	3.002	458	0 2 1
29.9	2.985	542	1 1 -2
30.1	2.968	555	1 2 0
31.0	2.888	431	2 1 -1
34.9	2.569	900	1 2 1
38.3	2.350	396	0 2 2

Crystal structure
```
data_Rb3NaSb2Au2
_chemical_formula_sum 'Rb3 Na1 Sb2 Au2'
_cell_length_a 6.500
_cell_length_b 6.758
_cell_length_c 6.845
_cell_angle_alpha 90.00
_cell_angle_beta 107.20
_cell_angle_gamma 90.00
_symmetry_space_group_name_H-M 'P 1 m 1'
_symmetry_Int_Tables_number 6
_symmetry_space_group_name_Hall 'P -2y'
loop_
_atom_site_label
_atom_site_fract_x
_atom_site_fract_y
_atom_site_fract_z
Rb1 0.000 0.000 0.000
Rb2 0.032 0.500 0.320
Rb3 0.675 0.500 0.646
Na1 0.360 0.000 0.669
Sb1 0.257 0.500 0.884
Sb2 0.749 0.000 0.433
Au1 0.517 0.245 0.141
```

(3)
Theoretical X-ray powder pattern of ReB4Os for a wavelength of 1.5418 Å, from a crystal structure in OQMD, relaxed with GGA-PBE.
Intensities are scaled so that the largest is 1000.

Most intense lines, 10° ≤ 2θ ≤ 90°, by angle:
2θ/deg	d_spacing	Rel. int.	(hkl)
25.6	3.481	519	0 0 2
35.1	2.560	786	1 0 0
43.9	2.062	1000	1 0 2
52.6	1.740	105	0 0 4
62.9	1.478	185	1 1 0
64.8	1.439	275	1 0 4
69.0	1.360	212	1 1 2
74.1	1.280	94	2 0 0
79.8	1.201	177	2 0 2
86.4	1.127	159	1 1 4

Crystal structure
```
data_ReB4Os
_chemical_formula_sum 'Re1 B4 Os1'
_cell_length_a 2.9561
_cell_length_b 2.9561
_cell_length_c 6.9610
_cell_angle_alpha 90.00
_cell_angle_beta 90.00
_cell_angle_gamma 120.00
_symmetry_space_group_name_H-M 'P 6/m m m'
_symmetry_Int_Tables_number 191
_symmetry_space_group_name_Hall '-P 6 2'
loop_
_atom_site_label
_atom_site_fract_x
_atom_site_fract_y
_atom_site_fract_z
Re1 0.0000 0.0000 0.0000
B1 0.3333 0.6667 0.2473
Os1 0.0000 0.0000 0.5000
```

(4)
Theoretical X-ray powder pattern of Al2PdI6Br2 for a wavelength of 1.5418 Å, from a crystal structure in OQMD, relaxed with GGA-PBE.
Intensities are scaled so that the largest is 1000.

Most intense lines, 10° ≤ 2θ ≤ 90°, by angle:
2θ/deg	d_spacing	Rel. int.	(hkl)
11.5	7.669	293	0 0 1
15.8	5.596	567	1 1 -1
16.4	5.390	336	2 0 -1
23.6	3.763	526	3 1 -1
25.3	3.525	360	2 2 -1
25.4	3.504	603	2 0 -2
26.1	3.420	228	4 0 0
26.5	3.360	1000	2 2 1
40.3	2.237	302	0 2 3
44.1	2.053	318	5 3 0

Crystal structure
```
data_Al2PdI6Br2
_chemical_formula_sum 'Al4 Pd2 I12 Br4'
_cell_length_a 13.758
_cell_length_b 9.317
_cell_length_c 7.693
_cell_angle_alpha 90.00
_cell_angle_beta 96.06
_cell_angle_gamma 90.00
_symmetry_space_group_name_H-M 'C 1 2/m 1'
_symmetry_Int_Tables_number 12
_symmetry_space_group_name_Hall '-C 2y'
loop_
_atom_site_label
_atom_site_fract_x
_atom_site_fract_y
_atom_site_fract_z
Al1 0.216 0.000 0.335
Pd1 0.000 0.000 0.000
I1 0.109 0.500 0.726
I2 0.112 0.201 0.161
Br1 0.192 0.000 0.625
```